# GaMo3
Calculated powder XRD pattern, Cu Kα X-rays. Input: a DFT-relaxed cell (GGA-PBE, the Materials Project).

Cell and atoms:
Unit cell a=4.9766 b=4.9766 c=4.9766 alpha=90.00 beta=90.00 gamma=90.00
Space group Pm-3n (No. 223)
Symmetry-distinct sites (fractional):
Ga1 0.0000 0.0000 0.0000 (multiplicity 2)
Mo1 0.0000 0.2500 0.5000 (multiplicity 6)

Top 6 peaks for 2θ = 5–70°, by angle:
| 2θ/deg | intensity | (hkl) |
| --- | --- | --- |
| 25.3 | 3 | 1 1 0 |
| 36.1 | 27 | 2 0 0 |
| 40.5 | 100 | 2 1 0 |
| 44.6 | 58 | 2 1 1 |
| 64.9 | 10 | 2 2 2 |
| 67.9 | 21 | 3 2 0 |

---

# GaMoN3
Calculated powder XRD pattern, Cu Kα X-rays. Input: a DFT-relaxed cell (GGA-PBE, the Materials Project).

Cell and atoms:
Unit cell a=5.8857 b=7.4355 c=7.9742 alpha=92.45 beta=95.07 gamma=96.92
Space group P-1 (No. 2)
Symmetry-distinct sites (fractional):
Ga1 0.1181 0.3594 0.0582 (multiplicity 2)
Ga2 0.3083 0.6793 0.7825 (multiplicity 2)
Mo1 0.0047 0.6689 0.3919 (multiplicity 2)
Mo2 0.1638 0.0897 0.2688 (multiplicity 2)
N1 0.0989 0.8531 0.8461 (multiplicity 2)
N2 0.1014 0.4702 0.8482 (multiplicity 2)
N3 0.1628 0.1845 0.4907 (multiplicity 2)
N4 0.1877 0.8429 0.2764 (multiplicity 2)
N5 0.2062 0.5896 0.5521 (multiplicity 2)
N6 0.3775 0.2567 0.1639 (multiplicity 2)

Top 12 peaks for 2θ = 5–70°, by angle:
| 2θ/deg | intensity | (hkl) |
| --- | --- | --- |
| 15.2 | 100 | 1 0 0 |
| 16.9 | 24 | 0 1 1 |
| 21.0 | 29 | -1 1 1 |
| 21.8 | 15 | 1 -1 1 |
| 26.1 | 46 | 0 1 2 |
| 28.4 | 15 | -1 1 2 |
| 31.4 | 29 | 1 2 -1 |
| 32.2 | 25 | 1 1 2 |
| 32.9 | 20 | -2 1 1 |
| 33.8 | 12 | 2 0 1 |
| 35.4 | 26 | 1 -2 2 |
| 38.1 | 12 | 1 1 -3 |

---

# PrGa40Mo8
Calculated powder XRD pattern, Cu Kα X-rays. Input: a DFT-relaxed cell (GGA-PBE, the Materials Project).

Cell and atoms:
Unit cell a=14.1320 b=14.1320 c=15.4025 alpha=90.00 beta=90.00 gamma=120.00
Space group R-3 (No. 148, hexagonal axes)
Symmetry-distinct sites (fractional):
Pr1 0.0000 0.0000 0.0000 (multiplicity 3)
Ga1 0.0000 0.0000 0.5000 (multiplicity 3)
Ga2 0.0000 0.5000 0.0000 (multiplicity 9)
Ga3 0.0038 0.8170 0.7821 (multiplicity 18)
Ga4 0.0113 0.3591 0.4314 (multiplicity 18)
Ga5 0.0110 0.8404 0.1307 (multiplicity 18)
Ga6 0.0135 0.1293 0.6602 (multiplicity 18)
Ga7 0.0303 0.4902 0.6608 (multiplicity 18)
Ga8 0.0960 0.5619 0.1733 (multiplicity 18)
Mo1 0.0000 0.0000 0.2118 (multiplicity 6)
Mo2 0.0149 0.3055 0.5956 (multiplicity 18)

Top 12 peaks for 2θ = 5–70°, by angle:
| 2θ/deg | intensity | (hkl) |
| --- | --- | --- |
| 21.4 | 32 | 2 -1 3 |
| 21.8 | 43 | 3 0 0 |
| 30.7 | 65 | 2 2 3 |
| 34.0 | 39 | 2 3 2 |
| 38.0 | 47 | 5 -4 3 |
| 39.4 | 38 | 2 4 1 |
| 39.5 | 63 | 4 -1 5 |
| 39.7 | 80 | 3 2 4 |
| 41.5 | 88 | 5 1 1 |
| 42.8 | 28 | 1 5 2 |
| 43.6 | 100 | 4 -2 6 |
| 44.4 | 87 | 6 0 0 |

---

# GaMo4Se4S4
Calculated powder XRD pattern, Cu Kα X-rays. Input: a DFT-relaxed cell (GGA-PBE, the Materials Project).

Cell and atoms:
Unit cell a=10.1723 b=10.1723 c=10.1723 alpha=90.00 beta=90.00 gamma=90.00
Space group F-43m (No. 216)
Symmetry-distinct sites (fractional):
Ga1 0.0000 0.0000 0.0000 (multiplicity 4)
Mo1 0.0987 0.0987 0.5987 (multiplicity 16)
Se1 0.1369 0.1369 0.8631 (multiplicity 16)
S1 0.1296 0.1296 0.3704 (multiplicity 16)

Top 12 peaks for 2θ = 5–70°, by angle:
| 2θ/deg | intensity | (hkl) |
| --- | --- | --- |
| 15.1 | 86 | 1 1 1 |
| 17.4 | 27 | 2 0 0 |
| 24.8 | 17 | 2 2 0 |
| 29.1 | 58 | 3 1 1 |
| 35.3 | 100 | 4 0 0 |
| 38.6 | 54 | 3 3 1 |
| 43.6 | 50 | 4 2 2 |
| 46.4 | 62 | 3 3 3 |
| 50.8 | 82 | 4 4 0 |
| 63.3 | 14 | 4 4 4 |
| 65.5 | 22 | 7 1 1 |
| 69.1 | 19 | 6 4 2 |

---

# V8Ga3Mo4S24
Calculated powder XRD pattern, Cu Kα X-rays. Input: a DFT-relaxed cell (GGA-PBE, the Materials Project).

Cell and atoms:
Unit cell a=6.8619 b=9.7554 c=11.9541 alpha=113.69 beta=106.32 gamma=90.99
Space group P1 (No. 1)
Symmetry-distinct sites (fractional):
V1 0.0000 0.0000 0.0000 (multiplicity 1)
V2 0.0452 0.4699 0.5262 (multiplicity 1)
V3 0.1848 0.1879 0.3850 (multiplicity 1)
V4 0.3822 0.8074 0.1914 (multiplicity 1)
V5 0.5247 0.5251 0.0510 (multiplicity 1)
V6 0.6665 0.6659 0.3328 (multiplicity 1)
V7 0.7167 0.1402 0.8587 (multiplicity 1)
V8 0.8580 0.8580 0.7168 (multiplicity 1)
Ga1 0.2587 0.8650 0.5249 (multiplicity 1)
Ga2 0.5922 0.1994 0.1923 (multiplicity 1)
Ga3 0.9261 0.5342 0.8597 (multiplicity 1)
Mo1 0.1174 0.1291 0.8588 (multiplicity 1)
Mo2 0.3248 0.3316 0.6611 (multiplicity 1)
Mo3 0.4611 0.4665 0.5274 (multiplicity 1)
Mo4 0.7839 0.7954 0.1915 (multiplicity 1)
S1 0.0115 0.7597 0.0411 (multiplicity 1)
S2 0.1628 0.4048 0.3519 (multiplicity 1)
S3 0.1628 0.9087 0.3424 (multiplicity 1)
S4 0.1767 0.8927 0.8587 (multiplicity 1)
S5 0.1941 0.3948 0.8596 (multiplicity 1)
S6 0.3150 0.0618 0.1917 (multiplicity 1)
S7 0.3367 0.5870 0.7000 (multiplicity 1)
S8 0.3386 0.5733 0.1920 (multiplicity 1)
S9 0.3459 0.0908 0.7076 (multiplicity 1)
S10 0.4881 0.7364 0.0139 (multiplicity 1)
S11 0.4961 0.2432 0.0096 (multiplicity 1)
S12 0.5149 0.2281 0.5204 (multiplicity 1)
S13 0.5293 0.7278 0.5249 (multiplicity 1)
S14 0.6503 0.3953 0.8593 (multiplicity 1)
S15 0.6654 0.9133 0.3690 (multiplicity 1)
S16 0.6728 0.9061 0.8586 (multiplicity 1)
S17 0.6804 0.4262 0.3740 (multiplicity 1)
S18 0.8213 0.0700 0.6810 (multiplicity 1)
S19 0.8325 0.5779 0.6772 (multiplicity 1)
S20 0.8439 0.5591 0.1918 (multiplicity 1)
S21 0.8610 0.0604 0.1914 (multiplicity 1)
S22 0.9821 0.7275 0.5246 (multiplicity 1)
S23 0.9888 0.2336 0.5206 (multiplicity 1)
S24 0.9994 0.2479 0.0364 (multiplicity 1)

Top 12 peaks for 2θ = 5–70°, by angle:
| 2θ/deg | intensity | (hkl) |
| --- | --- | --- |
| 15.7 | 66 | 0 1 1 |
| 18.2 | 59 | 1 0 1 |
| 25.7 | 29 | -1 2 1 |
| 30.4 | 65 | 1 1 2 |
| 30.6 | 34 | 2 1 -3 |
| 36.9 | 100 | 2 0 2 |
| 48.3 | 19 | 1 -5 2 |
| 48.4 | 20 | 0 5 -1 |
| 48.5 | 25 | 2 1 3 |
| 48.7 | 19 | 3 1 -5 |
| 52.8 | 38 | -2 4 2 |
| 53.5 | 45 | 2 4 0 |

---

# VGaMo3S8
Calculated powder XRD pattern, Cu Kα X-rays. Input: a DFT-relaxed cell (GGA-PBE, the Materials Project).

Cell and atoms:
Unit cell a=6.8753 b=6.8753 c=17.2155 alpha=90.00 beta=90.00 gamma=120.00
Space group R3m (No. 160, hexagonal axes)
Symmetry-distinct sites (fractional):
V1 0.0000 0.0000 0.0000 (multiplicity 3)
Ga1 0.0000 0.0000 0.6067 (multiplicity 3)
Mo1 0.1986 0.3972 0.8082 (multiplicity 9)
S1 0.0000 0.0000 0.2411 (multiplicity 3)
S2 0.0000 0.0000 0.7414 (multiplicity 3)
S3 0.1732 0.3465 0.0586 (multiplicity 9)
S4 0.1821 0.3641 0.5613 (multiplicity 9)

Top 12 peaks for 2θ = 5–70°, by angle:
| 2θ/deg | intensity | (hkl) |
| --- | --- | --- |
| 15.4 | 46 | 0 0 3 |
| 15.7 | 52 | 1 0 1 |
| 18.1 | 57 | 0 1 2 |
| 25.5 | 26 | 1 0 4 |
| 30.3 | 43 | 1 1 3 |
| 30.5 | 48 | 0 2 1 |
| 36.7 | 100 | 0 2 4 |
| 45.5 | 28 | 2 1 4 |
| 48.3 | 34 | 1 2 5 |
| 48.5 | 37 | 0 3 3 |
| 52.5 | 52 | 2 0 8 |
| 53.3 | 42 | 2 2 0 |

---

# GaMo4Se8
Calculated powder XRD pattern, Cu Kα X-rays. Input: a DFT-relaxed cell (GGA-PBE, the Materials Project).

Cell and atoms:
Unit cell a=11.3936 b=8.2159 c=6.6833 alpha=90.00 beta=101.17 gamma=90.00
Space group Cm (No. 8)
Symmetry-distinct sites (fractional):
Ga1 0.0000 0.0000 0.0000 (multiplicity 2)
Mo1 0.2000 0.0000 0.2676 (multiplicity 2)
Mo2 0.3436 0.5000 0.6669 (multiplicity 2)
Mo3 0.4551 0.2448 0.7380 (multiplicity 4)
Se1 0.0357 0.2095 0.4420 (multiplicity 4)
Se2 0.1340 0.2354 0.0074 (multiplicity 4)
Se3 0.1469 0.5000 0.4183 (multiplicity 2)
Se4 0.2875 0.5000 0.0025 (multiplicity 2)
Se5 0.3216 0.0000 0.6357 (multiplicity 2)
Se6 0.3797 0.0000 0.1478 (multiplicity 2)

Top 12 peaks for 2θ = 5–70°, by angle:
| 2θ/deg | intensity | (hkl) |
| --- | --- | --- |
| 17.9 | 37 | 1 1 -1 |
| 18.8 | 32 | 2 0 -1 |
| 22.8 | 43 | 2 0 1 |
| 26.9 | 100 | 2 2 0 |
| 28.8 | 94 | 2 0 -2 |
| 40.9 | 32 | 2 2 2 |
| 41.3 | 24 | 0 0 3 |
| 41.6 | 21 | 5 1 -1 |
| 43.6 | 79 | 4 2 1 |
| 44.1 | 49 | 0 4 0 |
| 44.2 | 32 | 4 2 -2 |
| 52.8 | 37 | 4 2 -3 |

---

# GaMo4Se8
Calculated powder XRD pattern, Cu Kα X-rays. Input: a DFT-relaxed cell (GGA-PBE, the Materials Project).

Cell and atoms:
Unit cell a=10.2979 b=10.2979 c=10.2979 alpha=90.00 beta=90.00 gamma=90.00
Space group F-43m (No. 216)
Symmetry-distinct sites (fractional):
Ga1 0.0000 0.0000 0.0000 (multiplicity 4)
Mo1 0.1000 0.1000 0.6000 (multiplicity 16)
Se1 0.1355 0.1355 0.3645 (multiplicity 16)
Se2 0.1373 0.1373 0.8627 (multiplicity 16)

Top 12 peaks for 2θ = 5–70°, by angle:
| 2θ/deg | intensity | (hkl) |
| --- | --- | --- |
| 14.9 | 39 | 1 1 1 |
| 24.4 | 11 | 2 2 0 |
| 28.8 | 36 | 3 1 1 |
| 30.1 | 23 | 2 2 2 |
| 34.8 | 100 | 4 0 0 |
| 38.1 | 18 | 3 3 1 |
| 43.0 | 45 | 4 2 2 |
| 45.8 | 38 | 5 1 1 |
| 50.1 | 80 | 4 4 0 |
| 59.5 | 15 | 6 2 2 |
| 62.5 | 16 | 4 4 4 |
| 68.1 | 18 | 6 4 2 |

---

Copy entry 1 word for word.
# GaMo3
Calculated powder XRD pattern, Cu Kα X-rays. Input: a DFT-relaxed cell (GGA-PBE, the Materials Project).

Cell and atoms:
Unit cell a=4.9766 b=4.9766 c=4.9766 alpha=90.00 beta=90.00 gamma=90.00
Space group Pm-3n (No. 223)
Symmetry-distinct sites (fractional):
Ga1 0.0000 0.0000 0.0000 (multiplicity 2)
Mo1 0.0000 0.2500 0.5000 (multiplicity 6)

Top 6 peaks for 2θ = 5–70°, by angle:
| 2θ/deg | intensity | (hkl) |
| --- | --- | --- |
| 25.3 | 3 | 1 1 0 |
| 36.1 | 27 | 2 0 0 |
| 40.5 | 100 | 2 1 0 |
| 44.6 | 58 | 2 1 1 |
| 64.9 | 10 | 2 2 2 |
| 67.9 | 21 | 3 2 0 |